Structure and computed powder diffraction line list of VCuRhO6 (DFT lattice parameters and positions (PBE+U); a wavelength of 1.5418 Å).
Intensities are scaled so that the largest is 100.

Most intense lines, 5 to 70 degrees two-theta, by intensity:
| 2θ (°) | I (rel.) | hkl |
| --- | --- | --- |
| 29.08 | 100.0 | 1 0 2 |
| 55.92 | 48.3 | 1 1 4 |
| 36.24 | 39.1 | 1 1 0 |
| 47.12 | 25.0 | 2 0 2 |
| 41.84 | 22.7 | 1 1 2 |
| 60.86 | 22.4 | 2 1 2 |
| 65.19 | 18.8 | 3 0 0 |
| 20.21 | 16.6 | 0 0 2 |
| 23.06 | 15.9 | 1 0 1 |
| 67.57 | 7.9 | 1 0 6 |
| 37.15 | 6.1 | 1 0 3 |
| 41.08 | 4.9 | 0 0 4 |

Atomic structure:
Cell lengths 4.957, 4.957, 8.789 Å; angles 90.00, 90.00, 120.00 degrees
Positions (direct):
V  0.333  0.667  0.250
V  0.667  0.333  0.750
Cu  0.000  0.000  0.000
Cu  0.000  0.000  0.500
Rh  0.333  0.667  0.750
Rh  0.667  0.333  0.250
O  0.013  0.353  0.129
O  0.013  0.660  0.371
O  0.340  0.353  0.371
O  0.340  0.987  0.129
O  0.353  0.013  0.629
O  0.353  0.340  0.871
O  0.647  0.660  0.129
O  0.647  0.987  0.371
O  0.660  0.013  0.871
O  0.660  0.647  0.629
O  0.987  0.340  0.629
O  0.987  0.647  0.871